Entry 1:
Starting from a cell relaxed with GGA-PBE, the powder diffraction line list of RbLi2H6N3 was calculated for Cu Kα.
Intensities are scaled so that the largest is 100.

Most intense lines, 15 to 90 degrees two-theta, by angle:
- 16.4 deg, rel. 40
- 20.2 deg, rel. 36
- 21.0 deg, rel. 100
- 21.1 deg, rel. 33
- 26.1 deg, rel. 57
- 31.0 deg, rel. 34
- 31.1 deg, rel. 33
- 31.6 deg, rel. 57
- 33.4 deg, rel. 34
- 37.4 deg, rel. 38

Cell and atoms:
a = 5.371 Å, b = 6.954 Å, c = 6.970 Å
α = 101.55°, β = 90.22°, γ = 90.22°
Space group P1 (No. 1)
Asymmetric unit:
1 Rb 0.000 0.000 0.000
2 Rb 0.500 0.433 0.572
3 Li 0.245 0.565 0.153
4 Li 0.247 0.853 0.436
5 Li 0.745 0.582 0.137
6 Li 0.746 0.870 0.421
7 H 0.083 0.615 0.813
8 H 0.095 0.188 0.379
9 H 0.469 0.263 0.986
10 H 0.471 0.025 0.737
11 H 0.477 0.786 0.033
12 H 0.479 0.970 0.209
13 H 0.584 0.817 0.760
14 H 0.593 0.247 0.192
15 H 0.965 0.409 0.837
16 H 0.975 0.173 0.586
17 H 0.978 0.465 0.364
18 H 0.978 0.649 0.540
19 N 0.000 0.548 0.916
20 N 0.004 0.091 0.449
21 N 0.487 0.819 0.183
22 N 0.500 0.344 0.124
23 N 0.504 0.886 0.658
24 N 0.987 0.616 0.389

---

Entry 2:
Starting from a cell relaxed with GGA-PBE, the powder diffraction line list of CaLaH8Pd2 was calculated for Cu Kα.
Intensities are scaled so that the largest is 100.

Most intense lines, 15 to 90 degrees two-theta, by angle:
- 28.4 deg, rel. 100
- 37.8 deg, rel. 50
- 39.2 deg, rel. 11
- 40.3 deg, rel. 11
- 43.3 deg, rel. 28
- 47.9 deg, rel. 24
- 58.8 deg, rel. 11
- 62.6 deg, rel. 21
- 70.4 deg, rel. 10
- 72.0 deg, rel. 12

Cell and atoms:
a = 4.7653 Å, b = 4.7653 Å, c = 19.3875 Å
α = 90.00°, β = 90.00°, γ = 120.00°
Space group R-3m (No. 166, hexagonal axes)
Asymmetric unit:
1 Ca 0.0000 0.0000 0.0000
2 La 0.0000 0.0000 0.5000
3 H 0.0000 0.0000 0.1482
4 H 0.0372 0.5186 0.0540
5 Pd 0.0000 0.0000 0.2386